[1]
The following is a computed X-ray diffraction stick pattern of MgTi. It was derived from the PBE geometry in the Materials Project, using λ = 1.5418 Å (Cu Kα).
Neutral-atom scattering factors, no anomalous dispersion.

Principal peaks in the range 2θ = 15–90°, in order of falling intensity:
Position (°2θ)	I (rel.)
39.15	100
35.56	27
34.70	25
73.74	16
62.20	16
66.26	15
50.53	15
76.00	12
46.16	5
35.22	4
84.14	3
42.33	3

Structural model:
Cell: 2.9851 2.9851 15.1477 Å, 90.00 90.00 120.00°
Space group P3m1 (No. 156)
Inequivalent atoms, fractional coordinates:
Mg (0.0000, 0.0000, 0.0000) (multiplicity 1)
Mg (0.0000, 0.0000, 0.3377) (multiplicity 1)
Mg (0.6667, 0.3333, 0.5150) (multiplicity 1)
Ti (0.0000, 0.0000, 0.6834) (multiplicity 1)
Ti (0.6667, 0.3333, 0.1712) (multiplicity 1)
Ti (0.6667, 0.3333, 0.8270) (multiplicity 1)

***

[2]
The following is a computed X-ray diffraction stick pattern of Mg2Ti. It was derived from the PBE geometry in the Materials Project, using λ = 1.5418 Å (Cu Kα).
Neutral-atom scattering factors, no anomalous dispersion.

Principal peaks in the range 2θ = 15–90°, in order of falling intensity:
Position (°2θ)	I (rel.)
38.27	100
37.56	50
36.14	39
33.57	23
71.19	18
66.41	17
59.01	17
16.22	14
32.77	14
50.15	14
73.46	12
72.57	9

Structural model:
Cell: 4.9704 9.1785 5.4652 Å, 90.00 90.00 90.00°
Space group Pmmn (No. 59, origin choice 2)
Inequivalent atoms, fractional coordinates:
Mg (0.2500, 0.0783, 0.0900) (multiplicity 4)
Mg (0.2500, 0.2500, 0.5735) (multiplicity 2)
Mg (0.2500, 0.7500, 0.0888) (multiplicity 2)
Ti (0.2500, 0.5818, 0.5757) (multiplicity 4)